GaAsSe: computed XRD peak list (Cu Ka), based on a crystal structure in Alexandria, relaxed with PBE.

The 8 most intense peaks (10 to 80 degrees two-theta), in order of rising 2θ:
h k l, d_spacing, 2θ/deg, I_rel
1 0 1, 2.838, 31.5, 100.0
0 3 0, 2.714, 33.0, 39.1
0 0 2, 2.065, 43.8, 13.7
1 3 1, 1.962, 46.3, 53.1
2 0 0, 1.954, 46.5, 18.7
1 2 2, 1.666, 55.1, 10.2
0 3 2, 1.643, 55.9, 10.2
2 3 0, 1.586, 58.2, 14.9

Structure:
```
GaAsSe
1.0
3.907 0.000 0.000
0.000 8.143 0.000
0.000 0.000 4.130
Ga As Se
2 2 2
direct
0.000 0.175 0.000 Ga
0.500 0.825 0.500 Ga
0.000 0.482 0.899 As
0.500 0.518 0.399 As
0.000 0.873 0.874 Se
0.500 0.127 0.374 Se
```